Ba2La3Ti2Cr3O15: theoretical powder XRD pattern (Cu Kα, 1.54184 Å), based on DFT lattice parameters and positions (GGA+U).

Most intense lines, 2θ from 10° to 90°, by angle:
d (Å), I_rel, hkl
3.970, 25.8, 1 5 0
2.823, 25.5, 2 0 0
2.808, 100.0, 1 5 1
2.791, 24.1, 0 10 0
1.985, 50.0, 0 0 2
1.404, 19.4, 2 10 2

Unit cell a=5.6457 b=27.9097 c=3.9722 alpha=90.00 beta=90.00 gamma=90.00
Space group Cmmm (No. 65)
One atom of each set of equivalent atoms:
Ba  0.0000  0.1985  0.0000 [4 per cell]
La  0.0000  0.0000  0.0000 [2 per cell]
La  0.0000  0.4035  0.0000 [4 per cell]
Ti  0.0000  0.3019  0.5000 [4 per cell]
Cr  0.0000  0.0990  0.5000 [4 per cell]
Cr  0.0000  0.5000  0.5000 [2 per cell]
O  0.0000  0.0939  0.0000 [4 per cell]
O  0.0000  0.3037  0.0000 [4 per cell]
O  0.0000  0.5000  0.0000 [2 per cell]
O  0.2355  0.3529  0.5000 [8 per cell]
O  0.2484  0.4504  0.5000 [8 per cell]
O  0.2500  0.2500  0.5000 [4 per cell]